Entry 1:
For Ti2CoIr, the GGA-PBE geometry in the Materials Project gives the simulated XRD peak list in this record (Cu Ka).
Peak positions follow from Bragg's law for the DFT cell and can differ from measured ones.

Principal peaks in the range 2θ from 15° to 90°, by angle:
- 25.19 deg, intensity 33
- 29.16 deg, intensity 27
- 41.71 deg, intensity 100
- 49.35 deg, intensity 17
- 60.47 deg, intensity 16
- 76.15 deg, intensity 32

Crystal structure
```
data_Ti2CoIr
_chemical_formula_sum 'Ti8 Co4 Ir4'
_cell_length_a 6.1242
_cell_length_b 6.1242
_cell_length_c 6.1242
_cell_angle_alpha 90.00
_cell_angle_beta 90.00
_cell_angle_gamma 90.00
_space_group_name_H-M_alt 'F m -3 m'
_space_group_IT_number 225
_space_group_name_Hall '-F 4 2 3'
loop_
_atom_site_label
_atom_site_fract_x
_atom_site_fract_y
_atom_site_fract_z
Ti1 0.2500 0.2500 0.2500
Co1 0.0000 0.0000 0.0000
Ir1 0.0000 0.0000 0.5000
```


Entry 2:
For CrN2, the GGA-PBE geometry in the Materials Project gives the simulated XRD peak list in this record (Cu Ka).
Peak positions follow from Bragg's law for the DFT cell and can differ from measured ones.

Principal peaks in the range 2θ from 15° to 90°, by angle:
- 20.11 deg, intensity 100
- 20.54 deg, intensity 47
- 23.26 deg, intensity 33
- 24.56 deg, intensity 70
- 30.49 deg, intensity 36
- 31.95 deg, intensity 26

Crystal structure
```
data_CrN2
_chemical_formula_sum 'Cr8 N16'
_cell_length_a 7.3416
_cell_length_b 8.8306
_cell_length_c 5.9387
_cell_angle_alpha 90.00
_cell_angle_beta 99.11
_cell_angle_gamma 90.00
_space_group_name_H-M_alt 'C 1 2 1'
_space_group_IT_number 5
loop_
_space_group_symop_operation_xyz
'x,y,z'
'-x,y,-z'
'x+1/2,y+1/2,z'
'-x+1/2,y+1/2,-z'
loop_
_atom_site_label
_atom_site_fract_x
_atom_site_fract_y
_atom_site_fract_z
Cr1 0.1991 0.0000 0.2813
Cr2 0.2466 0.1222 0.7892
N1 0.0172 0.1044 0.7523
N2 0.1753 0.8124 0.2399
N3 0.1805 0.5646 0.9282
N4 0.1905 0.5221 0.4396
```


Entry 3:
For Li13Sn5, the GGA-PBE geometry in the Materials Project gives the simulated XRD peak list in this record (Cu Ka).
Peak positions follow from Bragg's law for the DFT cell and can differ from measured ones.

Principal peaks in the range 2θ from 15° to 90°, by angle:
- 22.49 deg, intensity 100
- 24.25 deg, intensity 33
- 26.07 deg, intensity 22
- 38.36 deg, intensity 42
- 38.60 deg, intensity 42
- 46.97 deg, intensity 28

Crystal structure
```
data_Li13Sn5
_chemical_formula_sum 'Li13 Sn5'
_cell_length_a 4.6925
_cell_length_b 4.6925
_cell_length_c 17.0897
_cell_angle_alpha 90.00
_cell_angle_beta 90.00
_cell_angle_gamma 120.00
_space_group_name_H-M_alt 'P -3 m 1'
_space_group_IT_number 164
_space_group_name_Hall '-P 3 2"'
loop_
_atom_site_label
_atom_site_fract_x
_atom_site_fract_y
_atom_site_fract_z
Li1 0.0000 0.0000 0.0000
Li2 0.0000 0.0000 0.1716
Li3 0.0000 0.0000 0.3365
Li4 0.3333 0.6667 0.4467
Li5 0.3333 0.6667 0.6120
Li6 0.3333 0.6667 0.7837
Li7 0.3333 0.6667 0.9462
Sn1 0.0000 0.0000 0.5000
Sn2 0.3333 0.6667 0.1080
Sn3 0.3333 0.6667 0.2783
```


Entry 4:
For MgTiBiO5, the GGA-PBE geometry in the Materials Project gives the simulated XRD peak list in this record (Cu Ka).
Peak positions follow from Bragg's law for the DFT cell and can differ from measured ones.

Principal peaks in the range 2θ from 15° to 90°, by angle:
- 17.63 deg, intensity 100
- 19.85 deg, intensity 49
- 23.97 deg, intensity 39
- 24.67 deg, intensity 78
- 29.23 deg, intensity 87
- 34.11 deg, intensity 35

Crystal structure
```
data_MgTiBiO5
_chemical_formula_sum 'Mg4 Ti4 Bi4 O20'
_cell_length_a 5.3720
_cell_length_b 10.8522
_cell_length_c 8.4382
_cell_angle_alpha 90.00
_cell_angle_beta 110.52
_cell_angle_gamma 90.00
_space_group_name_H-M_alt 'P 1 21/c 1'
_space_group_IT_number 14
loop_
_space_group_symop_operation_xyz
'x,y,z'
'-x,-y,-z'
'-x,y+1/2,-z+1/2'
'x,-y+1/2,z+1/2'
loop_
_atom_site_label
_atom_site_fract_x
_atom_site_fract_y
_atom_site_fract_z
Mg1 0.0387 0.0903 0.1679
Ti1 0.3535 0.6213 0.0476
Bi1 0.4589 0.1045 0.8412
O1 0.1878 0.5464 0.1811
O2 0.1948 0.7280 0.4844
O3 0.2496 0.0347 0.0063
O4 0.3239 0.1981 0.3259
O5 0.3441 0.5420 0.8448
```


Entry 5:
For Ca2SiO6, the GGA-PBE geometry in the Materials Project gives the simulated XRD peak list in this record (Cu Ka).
Peak positions follow from Bragg's law for the DFT cell and can differ from measured ones.

Principal peaks in the range 2θ from 15° to 90°, by angle:
- 25.59 deg, intensity 63
- 26.11 deg, intensity 70
- 29.82 deg, intensity 100
- 30.07 deg, intensity 94
- 31.61 deg, intensity 62
- 46.80 deg, intensity 62

Crystal structure
```
data_Ca2SiO6
_chemical_formula_sum 'Ca8 Si4 O24'
_cell_length_a 5.6994
_cell_length_b 8.4387
_cell_length_c 10.8675
_cell_angle_alpha 90.17
_cell_angle_beta 91.22
_cell_angle_gamma 96.60
_space_group_name_H-M_alt 'P -1'
_space_group_IT_number 2
loop_
_space_group_symop_operation_xyz
'x,y,z'
'-x,-y,-z'
loop_
_atom_site_label
_atom_site_fract_x
_atom_site_fract_y
_atom_site_fract_z
Ca1 0.2039 0.1851 0.1133
Ca2 0.2414 0.5205 0.3731
Ca3 0.2608 0.4788 0.8701
Ca4 0.2814 0.8187 0.6167
Si1 0.2230 0.2446 0.5642
Si2 0.2988 0.7568 0.0704
O1 0.9996 0.3296 0.5120
O2 0.0362 0.6545 0.7569
O3 0.0364 0.6756 0.0245
O4 0.1604 0.9132 0.8074
O5 0.2031 0.0539 0.5210
O6 0.2577 0.2861 0.7119
O7 0.3068 0.7171 0.2189
O8 0.3094 0.9480 0.0313
O9 0.3289 0.0806 0.3116
O10 0.4607 0.3420 0.2607
O11 0.4686 0.3287 0.5015
O12 0.4952 0.3289 0.9979
```